Entry 1:
Structure and theoretical X-ray diffraction stick pattern of DyB3Pt9 (a DFT-relaxed cell (GGA-PBE, Alexandria); Cu Kα (λ = 1.5418 Å)).
No peak broadening, texture or thermal motion is included.

Peak list (10 most intense, 15° ≤ 2θ ≤ 90°, in order of rising 2θ)
2.626 Å, 34.1 deg, I 100, (2 0 1); 2.585 Å, 34.7 deg, I 21, (2 1 0); 2.187 Å, 41.3 deg, I 32, (2 1 1); 2.050 Å, 44.2 deg, I 20, (0 0 2); 1.974 Å, 46.0 deg, I 30, (2 2 0); 1.578 Å, 58.5 deg, I 10, (4 0 1); 1.422 Å, 65.7 deg, I 21, (2 2 2); 1.298 Å, 72.9 deg, I 11, (5 0 1); 1.269 Å, 74.8 deg, I 11, (2 0 3); 1.233 Å, 77.4 deg, I 12, (4 2 1)

```
data_DyB3Pt9
_chemical_formula_sum 'Dy1 B3 Pt9'
_cell_length_a 7.8976
_cell_length_b 7.8976
_cell_length_c 4.0999
_cell_angle_alpha 90.00
_cell_angle_beta 90.00
_cell_angle_gamma 120.00
_symmetry_space_group_name_H-M 'P 6/m m m'
_symmetry_Int_Tables_number 191
_symmetry_space_group_name_Hall '-P 6 2'
loop_
_atom_site_label
_atom_site_fract_x
_atom_site_fract_y
_atom_site_fract_z
_atom_site_occupancy
Dy1 0.0000 0.0000 0.0000 1
B1 0.0000 0.5000 0.5000 1
Pt1 0.0000 0.5000 0.0000 1
Pt2 0.1985 0.3969 0.5000 1
```

***

Entry 2:
Structure and theoretical X-ray diffraction stick pattern of Sr4MnAu (a DFT-relaxed cell (GGA-PBE, Alexandria); Cu Kα (λ = 1.5418 Å)).
No peak broadening, texture or thermal motion is included.

Peak list (10 most intense, 15° ≤ 2θ ≤ 90°, in order of rising 2θ)
3.533 Å, 25.2 deg, I 35, (2 2 0); 3.013 Å, 29.6 deg, I 100, (3 1 1); 2.885 Å, 31.0 deg, I 31, (2 2 2); 2.040 Å, 44.4 deg, I 16, (4 2 2); 1.923 Å, 47.3 deg, I 37, (5 1 1); 1.767 Å, 51.7 deg, I 28, (4 4 0); 1.524 Å, 60.8 deg, I 13, (5 3 3); 1.507 Å, 61.6 deg, I 13, (6 2 2); 1.301 Å, 72.7 deg, I 23, (5 5 3); 1.154 Å, 83.8 deg, I 12, (5 5 5)

```
data_Sr4MnAu
_chemical_formula_sum 'Sr16 Mn4 Au4'
_cell_length_a 9.994
_cell_length_b 9.994
_cell_length_c 9.994
_cell_angle_alpha 90.00
_cell_angle_beta 90.00
_cell_angle_gamma 90.00
_symmetry_space_group_name_H-M 'F -4 3 m'
_symmetry_Int_Tables_number 216
_symmetry_space_group_name_Hall 'F -4 2 3'
loop_
_atom_site_label
_atom_site_fract_x
_atom_site_fract_y
_atom_site_fract_z
_atom_site_occupancy
Sr1 0.125 0.125 0.125 1
Mn1 0.000 0.000 0.500 1
Au1 0.250 0.250 0.750 1
```